Entry 1:
The following is a simulated powder XRD pattern of U2H2Se3. It was derived from DFT lattice parameters and positions (GGA-PBE), using Cu Kα (λ = 1.5418 Å).
No peak broadening, texture or thermal motion is included.

Most intense lines, 2θ from 10° to 90°, low angle first:
2theta, I/Imax, (hkl)
22.0, 70, 1 0 2
25.3, 52, 1 1 2
28.7, 78, 0 0 4
30.0, 100, 1 2 0
33.0, 60, 0 2 3
36.0, 95, 2 1 0
41.4, 57, 1 3 0
46.7, 41, 2 1 4

Crystal structure
a = 5.3155 Å, b = 7.1826 Å, c = 12.4163 Å
α = 90.00°, β = 90.00°, γ = 90.00°
Space group Pbcm (No. 57)
Symmetry-distinct sites (fractional):
U 0.1230 0.2500 0.0000
U 0.3501 0.5974 0.2500
H 0.1128 0.5313 0.0895
Se 0.1381 0.2399 0.2500
Se 0.3722 0.6093 0.5975

---

Entry 2:
The following is a simulated powder XRD pattern of Ni2Sb3Se3. It was derived from DFT lattice parameters and positions (GGA-PBE), using Cu Kα (λ = 1.5418 Å).
No peak broadening, texture or thermal motion is included.

Most intense lines, 2θ from 10° to 90°, low angle first:
2theta, I/Imax, (hkl)
24.2, 9, 3 0 0
31.5, 100, 3 -1 4
37.4, 28, 4 1 0
45.0, 15, 6 -2 2
45.2, 15, 2 2 6
49.6, 15, 2 4 4
51.8, 13, 7 -4 2
59.9, 13, 8 -3 2

Crystal structure
a = 12.7336 Å, b = 12.7336 Å, c = 15.5149 Å
α = 90.00°, β = 90.00°, γ = 120.00°
Space group R-3 (No. 148, hexagonal axes)
Symmetry-distinct sites (fractional):
Ni 0.0000 0.0000 0.2438
Ni 0.9998 0.4991 0.2430
Sb 0.0086 0.1712 0.3367
Sb 0.0596 0.6053 0.6076
Se 0.0109 0.1746 0.8357
Se 0.0587 0.7853 0.4368

---

Entry 3:
The following is a simulated powder XRD pattern of LiAc2Ge3. It was derived from DFT lattice parameters and positions (GGA-PBE), using Cu Kα (λ = 1.5418 Å).
No peak broadening, texture or thermal motion is included.

Most intense lines, 2θ from 10° to 90°, low angle first:
2theta, I/Imax, (hkl)
23.4, 33, 0 0 4
30.6, 100, 2 2 2
39.5, 12, 0 4 0
41.0, 11, 4 0 0
41.2, 22, 2 0 6
46.4, 11, 0 4 4
52.1, 15, 4 2 4
58.4, 16, 2 4 6

Crystal structure
a = 8.7955 Å, b = 9.1264 Å, c = 15.1573 Å
α = 90.00°, β = 90.00°, γ = 90.00°
Space group Fmmm (No. 69)
Symmetry-distinct sites (fractional):
Li 0.0000 0.0000 0.1656
Ac 0.0000 0.2395 0.5000
Ac 0.2500 0.2500 0.2500
Ge 0.0000 0.0000 0.3306
Ge 0.2424 0.0000 0.0845